[1]
Starting from a GGA+U-relaxed structure, the X-ray diffraction stick pattern of Al2CoO4 was computed for λ = 1.5418 Å (Cu Kα).

Structural model:
Unit cell a=5.7823 b=5.7823 c=14.1445 alpha=90.00 beta=90.00 gamma=120.00
Space group P3m1 (No. 156)
Unique sites:
Al  0.0000  0.0000  0.0000 (multiplicity 1)
Al  0.0000  0.0000  0.3760 (multiplicity 1)
Al  0.0048  0.5024  0.8785 (multiplicity 3)
Al  0.1668  0.3336  0.5420 (multiplicity 3)
Al  0.3333  0.6667  0.7089 (multiplicity 1)
Al  0.3364  0.1682  0.2101 (multiplicity 3)
Co  0.0000  0.0000  0.7504 (multiplicity 1)
Co  0.3333  0.6667  0.1022 (multiplicity 1)
Co  0.3333  0.6667  0.3310 (multiplicity 1)
Co  0.6667  0.3333  0.0457 (multiplicity 1)
Co  0.6667  0.3333  0.4205 (multiplicity 1)
Co  0.6667  0.3333  0.6703 (multiplicity 1)
O  0.0000  0.0000  0.1298 (multiplicity 1)
O  0.0000  0.0000  0.6105 (multiplicity 1)
O  0.0383  0.5192  0.6197 (multiplicity 3)
O  0.1456  0.2912  0.2854 (multiplicity 3)
O  0.1862  0.3725  0.7968 (multiplicity 3)
O  0.2934  0.1467  0.4627 (multiplicity 3)
O  0.3333  0.6667  0.4711 (multiplicity 1)
O  0.3333  0.6667  0.9460 (multiplicity 1)
O  0.3396  0.1698  0.9544 (multiplicity 3)
O  0.5174  0.0348  0.1349 (multiplicity 3)
O  0.6667  0.3333  0.2802 (multiplicity 1)
O  0.6667  0.3333  0.8167 (multiplicity 1)

Largest 12 diffraction maxima, low angle first, 10 to 80 degrees two-theta:
2θ 17.71, I = 2.5, hkl 1 0 0; 2θ 18.80, I = 3.5, hkl 1 0 1; 2θ 21.75, I = 3.3, hkl 1 0 2; 2θ 30.94, I = 59.3, hkl 1 1 0; 2θ 36.46, I = 100.0, hkl 1 0 5; 2θ 44.33, I = 12.5, hkl 2 0 4; 2θ 48.55, I = 6.2, hkl 0 2 5; 2θ 55.04, I = 18.4, hkl 3 0 0; 2θ 58.69, I = 41.1, hkl 2 1 5; 2θ 64.49, I = 49.5, hkl 2 2 0; 2θ 73.25, I = 6.5, hkl 2 1 8; 2θ 76.39, I = 8.7, hkl 1 3 5

[2]
Starting from a GGA+U-relaxed structure, the X-ray diffraction stick pattern of AlCo2O4 was computed for λ = 1.5418 Å (Cu Kα).

Structural model:
Unit cell a=5.819 b=5.833 c=8.432 alpha=90.00 beta=90.00 gamma=90.00
Space group Imma (No. 74)
Unique sites:
Al  0.250  0.250  0.250 (multiplicity 4)
Co  0.000  0.000  0.000 (multiplicity 4)
Co  0.000  0.250  0.627 (multiplicity 4)
O  0.000  0.030  0.242 (multiplicity 8)
O  0.237  0.250  0.022 (multiplicity 8)

Largest 12 diffraction maxima, low angle first, 10 to 80 degrees two-theta:
2θ 18.53, I = 10.0, hkl 1 0 1; 2θ 30.33, I = 41.4, hkl 1 1 2; 2θ 30.73, I = 25.8, hkl 2 0 0; 2θ 35.46, I = 49.9, hkl 1 0 3; 2θ 36.07, I = 100.0, hkl 1 2 1; 2θ 43.96, I = 13.4, hkl 2 2 0; 2θ 54.34, I = 13.4, hkl 1 3 2; 2θ 56.84, I = 17.1, hkl 1 0 5; 2θ 58.14, I = 30.6, hkl 3 2 1; 2θ 63.11, I = 44.1, hkl 2 2 4; 2θ 63.83, I = 10.5, hkl 0 4 0; 2θ 64.01, I = 11.1, hkl 4 0 0

[3]
Starting from a GGA+U-relaxed structure, the X-ray diffraction stick pattern of AlCoO3 was computed for λ = 1.5418 Å (Cu Kα).

Structural model:
Unit cell a=5.242 b=5.484 c=11.637 alpha=89.91 beta=89.84 gamma=61.59
Space group P1 (No. 1)
Unique sites:
Al  0.000  0.000  0.000 (multiplicity 1)
Al  0.007  0.999  0.492 (multiplicity 1)
Al  0.323  0.340  0.001 (multiplicity 1)
Al  0.339  0.331  0.493 (multiplicity 1)
Al  0.663  0.662  0.001 (multiplicity 1)
Al  0.672  0.666  0.493 (multiplicity 1)
Co  0.004  0.336  0.746 (multiplicity 1)
Co  0.338  0.665  0.745 (multiplicity 1)
Co  0.352  0.000  0.246 (multiplicity 1)
Co  0.658  0.313  0.247 (multiplicity 1)
Co  0.674  0.999  0.749 (multiplicity 1)
Co  0.971  0.686  0.247 (multiplicity 1)
O  0.001  0.333  0.927 (multiplicity 1)
O  0.007  0.335  0.563 (multiplicity 1)
O  0.028  0.999  0.742 (multiplicity 1)
O  0.282  0.347  0.241 (multiplicity 1)
O  0.333  0.667  0.927 (multiplicity 1)
O  0.338  0.001  0.076 (multiplicity 1)
O  0.342  0.662  0.563 (multiplicity 1)
O  0.347  0.999  0.414 (multiplicity 1)
O  0.360  0.334  0.746 (multiplicity 1)
O  0.627  0.654  0.240 (multiplicity 1)
O  0.659  0.319  0.078 (multiplicity 1)
O  0.668  0.319  0.412 (multiplicity 1)
O  0.672  0.997  0.914 (multiplicity 1)
O  0.676  0.999  0.576 (multiplicity 1)
O  0.694  0.663  0.745 (multiplicity 1)
O  0.978  0.680  0.078 (multiplicity 1)
O  0.986  0.680  0.412 (multiplicity 1)
O  0.989  0.000  0.242 (multiplicity 1)

Largest 12 diffraction maxima, low angle first, 10 to 80 degrees two-theta:
2θ 15.23, I = 41.8, hkl 0 0 2; 2θ 30.73, I = 66.2, hkl 0 0 4; 2θ 33.59, I = 100.0, hkl 1 2 -1; 2θ 35.10, I = 51.0, hkl 2 1 1; 2θ 36.21, I = 13.7, hkl 1 -1 2; 2θ 37.64, I = 11.4, hkl 2 1 2; 2θ 46.84, I = 13.9, hkl 0 0 6; 2θ 51.49, I = 22.9, hkl -1 1 5; 2θ 57.30, I = 19.6, hkl 0 3 0; 2θ 60.21, I = 15.7, hkl 3 0 0; 2θ 60.35, I = 15.5, hkl 3 3 0; 2θ 66.43, I = 12.2, hkl 0 3 -4

[4]
Starting from a GGA+U-relaxed structure, the X-ray diffraction stick pattern of AlCoO3 was computed for λ = 1.5418 Å (Cu Kα).

Structural model:
Unit cell a=5.5150 b=5.5150 c=10.9125 alpha=90.00 beta=90.00 gamma=120.00
Space group P6_3cm (No. 185)
Unique sites:
Al  0.0000  0.0000  0.0000 (multiplicity 2)
Al  0.3333  0.6667  0.4818 (multiplicity 4)
Co  0.0000  0.3294  0.2386 (multiplicity 6)
O  0.0000  0.0000  0.1788 (multiplicity 2)
O  0.0000  0.2975  0.4107 (multiplicity 6)
O  0.0000  0.3862  0.0659 (multiplicity 6)
O  0.3333  0.6667  0.2668 (multiplicity 4)

Largest 12 diffraction maxima, low angle first, 10 to 80 degrees two-theta:
2θ 16.25, I = 20.0, hkl 0 0 2; 2θ 32.83, I = 29.0, hkl 0 0 4; 2θ 33.52, I = 100.0, hkl 1 1 1; 2θ 36.51, I = 21.8, hkl 1 1 2; 2θ 41.08, I = 10.3, hkl 1 1 3; 2θ 50.16, I = 5.1, hkl 0 0 6; 2θ 53.55, I = 26.8, hkl 1 1 5; 2θ 57.92, I = 33.6, hkl 3 0 0; 2θ 61.03, I = 16.9, hkl 1 1 6; 2θ 68.20, I = 19.8, hkl 3 0 4; 2θ 68.61, I = 9.2, hkl 2 2 1; 2θ 69.23, I = 8.3, hkl 1 1 7

[5]
Starting from a GGA+U-relaxed structure, the X-ray diffraction stick pattern of Al2CoPO6 was computed for λ = 1.5418 Å (Cu Kα).

Structural model:
Unit cell a=8.694 b=10.697 c=5.474 alpha=90.00 beta=114.85 gamma=90.00
Space group C2/c (No. 15)
Unique sites:
Al  0.130  0.080  0.161 (multiplicity 8)
Co  0.000  0.413  0.250 (multiplicity 4)
P  0.000  0.311  0.750 (multiplicity 4)
O  0.093  0.235  0.008 (multiplicity 8)
O  0.122  0.058  0.477 (multiplicity 8)
O  0.127  0.400  0.696 (multiplicity 8)

Largest 12 diffraction maxima, low angle first, 10 to 80 degrees two-theta:
2θ 13.95, I = 31.0, hkl 1 1 0; 2θ 16.58, I = 25.1, hkl 0 2 0; 2θ 22.54, I = 93.1, hkl 2 0 0; 2θ 24.46, I = 24.3, hkl 0 2 1; 2θ 27.77, I = 29.2, hkl 2 2 -1; 2θ 30.15, I = 100.0, hkl 1 3 -1; 2θ 34.03, I = 59.9, hkl 1 1 -2; 2θ 35.15, I = 54.9, hkl 3 1 0; 2θ 40.28, I = 33.4, hkl 3 3 -1; 2θ 45.06, I = 39.1, hkl 4 2 -1; 2θ 61.53, I = 29.3, hkl 2 4 -3; 2θ 67.80, I = 35.2, hkl 4 4 1

[6]
Starting from a GGA+U-relaxed structure, the X-ray diffraction stick pattern of PaAlCo2O6 was computed for λ = 1.5418 Å (Cu Kα).

Structural model:
Unit cell a=5.443 b=5.443 c=4.575 alpha=90.00 beta=90.00 gamma=90.00
Space group P4mm (No. 99)
Unique sites:
Pa  0.000  0.000  0.000 (multiplicity 1)
Al  0.500  0.500  0.014 (multiplicity 1)
Co  0.000  0.500  0.341 (multiplicity 2)
O  0.000  0.000  0.546 (multiplicity 1)
O  0.267  0.267  0.137 (multiplicity 4)
O  0.500  0.500  0.630 (multiplicity 1)

Largest 12 diffraction maxima, low angle first, 10 to 80 degrees two-theta:
2θ 16.29, I = 76.8, hkl 1 0 0; 2θ 19.40, I = 46.6, hkl 0 0 1; 2θ 23.11, I = 26.0, hkl 1 1 0; 2θ 25.43, I = 54.4, hkl 1 0 1; 2θ 30.35, I = 100.0, hkl 1 1 1; 2θ 32.91, I = 48.3, hkl 2 0 0; 2θ 36.93, I = 25.2, hkl 2 1 0; 2θ 42.05, I = 33.3, hkl 2 1 1; 2θ 46.17, I = 37.9, hkl 1 1 2; 2θ 47.23, I = 31.8, hkl 2 2 0; 2θ 57.18, I = 33.8, hkl 3 1 1; 2θ 68.19, I = 22.8, hkl 3 1 2

[7]
Starting from a GGA+U-relaxed structure, the X-ray diffraction stick pattern of PmAlCoO4 was computed for λ = 1.5418 Å (Cu Kα).

Structural model:
Unit cell a=5.336 b=5.336 c=6.194 alpha=90.00 beta=90.00 gamma=90.00
Space group I-4 (No. 82)
Unique sites:
Pm  0.000  0.000  0.000 (multiplicity 2)
Al  0.000  0.000  0.500 (multiplicity 2)
Co  0.000  0.500  0.750 (multiplicity 2)
O  0.172  0.205  0.676 (multiplicity 8)

Largest 12 diffraction maxima, low angle first, 10 to 80 degrees two-theta:
2θ 21.99, I = 100.0, hkl 1 0 1; 2θ 23.58, I = 38.5, hkl 1 1 0; 2θ 33.59, I = 37.8, hkl 2 0 0; 2θ 37.57, I = 86.2, hkl 1 1 2; 2θ 40.51, I = 52.5, hkl 2 1 1; 2θ 44.84, I = 18.1, hkl 2 0 2; 2θ 47.20, I = 19.7, hkl 1 0 3; 2θ 48.24, I = 26.3, hkl 2 2 0; 2θ 53.61, I = 13.0, hkl 3 0 1; 2θ 59.17, I = 12.2, hkl 1 2 3; 2θ 62.70, I = 41.0, hkl 3 1 2; 2θ 70.29, I = 14.4, hkl 2 0 4

[8]
Starting from a GGA+U-relaxed structure, the X-ray diffraction stick pattern of Sm2AlCoO6 was computed for λ = 1.5418 Å (Cu Kα).

Structural model:
Unit cell a=5.322 b=5.383 c=9.221 alpha=90.00 beta=125.12 gamma=90.00
Space group P2_1/c (No. 14)
Unique sites:
Sm  0.240  0.044  0.250 (multiplicity 4)
Al  0.500  0.000  0.000 (multiplicity 2)
Co  0.000  0.000  0.500 (multiplicity 2)
O  0.175  0.212  0.960 (multiplicity 4)
O  0.247  0.716  0.959 (multiplicity 4)
O  0.328  0.014  0.752 (multiplicity 4)

Largest 12 diffraction maxima, low angle first, 10 to 80 degrees two-theta:
2θ 23.54, I = 46.3, hkl 0 0 2; 2θ 33.29, I = 21.6, hkl 0 2 0; 2θ 33.55, I = 100.0, hkl 1 1 1; 2θ 33.68, I = 24.9, hkl 2 0 -2; 2θ 41.21, I = 14.6, hkl 0 2 2; 2θ 41.54, I = 17.9, hkl 2 0 0; 2θ 48.09, I = 25.2, hkl 2 2 -2; 2θ 48.27, I = 15.2, hkl 0 0 4; 2θ 49.66, I = 11.1, hkl 0 2 3; 2θ 59.65, I = 11.9, hkl 1 3 1; 2θ 60.09, I = 16.4, hkl 3 1 -1; 2θ 60.21, I = 16.3, hkl 2 0 -6